# CsCd5As3
Simulated powder X-ray diffraction pattern, Cu Kα X-rays. Input: the GGA-PBE geometry in Alexandria.

Cell and atoms:
```
CsCd5As3
1.0
2.375 -7.709 0.000
2.375 7.709 0.000
0.000 0.000 13.533
Cs Cd As
2 10 6
Cartesian
2.375 5.075 10.149
2.375 -5.075 3.383
0.000 0.000 0.000
0.000 0.000 6.766
2.375 4.763 0.943
2.375 4.763 5.823
2.375 0.507 8.685
2.375 0.507 11.614
2.375 -0.507 1.919
2.375 -0.507 4.847
2.375 -4.763 7.709
2.375 -4.763 12.590
2.375 6.226 3.383
2.375 2.023 0.519
2.375 2.023 6.247
2.375 -2.023 7.286
2.375 -2.023 13.013
2.375 -6.226 10.149
```

Principal peaks in the range 15 to 90 degrees two-theta, low angle first:
25.5 deg, I 52.7
27.9 deg, I 100.0
28.8 deg, I 68.7
30.5 deg, I 32.2
33.0 deg, I 80.3
37.2 deg, I 53.1
37.9 deg, I 87.6
40.2 deg, I 45.7


# Cs2CdAsF6
Simulated powder X-ray diffraction pattern, Cu Kα X-rays. Input: the GGA-PBE geometry in Alexandria.

Cell and atoms:
```
Cs2CdAsF6
1.0
-3.111 3.111 5.400
3.111 -3.111 5.400
3.111 3.111 -5.400
Cs Cd As F
2 1 1 6
Cartesian
3.111 0.000 2.700
0.000 3.111 2.700
0.000 0.000 0.000
0.000 0.000 5.400
0.000 0.000 2.151
1.656 1.656 0.000
1.455 -1.455 5.400
-1.455 1.455 5.400
1.455 1.455 5.400
0.000 0.000 8.650
```

Principal peaks in the range 15 to 90 degrees two-theta, low angle first:
26.1 deg, I 100.0
28.7 deg, I 38.0
33.2 deg, I 34.0
41.0 deg, I 26.6
44.4 deg, I 21.4
49.3 deg, I 34.4
53.7 deg, I 22.0
55.1 deg, I 14.9